For Tb6NiOs2, a DFT-relaxed cell (GGA-PBE, Alexandria) gives the calculated X-ray diffraction stick pattern in this record (λ = 1.5418 Å (Cu Kα)).
Kinematic intensities with the Lorentz-polarization factor, no thermal factor.

Largest 10 diffraction maxima, by intensity, 5° ≤ 2θ ≤ 70°:
hkl 0 2 3, 2θ 37.62, I 100
hkl 2 1 -3, 2θ 31.56, I 80
hkl 1 3 -1, 2θ 38.79, I 69
hkl 1 2 1, 2θ 33.45, I 67
hkl 1 1 -4, 2θ 34.37, I 65
hkl 1 0 2, 2θ 31.43, I 60
hkl 1 1 2, 2θ 33.71, I 57
hkl 2 1 -2, 2θ 29.79, I 57
hkl 1 2 -3, 2θ 33.88, I 55
hkl 2 1 -1, 2θ 31.09, I 52

Structural model:
Cell lengths 6.5552, 7.4469, 11.2773 Å; angles 90.00, 123.95, 90.00 degrees
Space group P2_1/c (No. 14)
Unique sites:
Tb: 0.0873 0.0474 0.2420 (multiplicity 4)
Tb: 0.2258 0.6720 0.0678 (multiplicity 4)
Tb: 0.3993 0.1739 0.0672 (multiplicity 4)
Ni: 0.5000 0.0000 0.5000 (multiplicity 2)
Os: 0.2966 0.1189 0.7576 (multiplicity 4)